# 1
Structure and theoretical powder XRD pattern of Fe3H4Ru (a cell relaxed with PBE; Cu Ka).

Largest 10 diffraction maxima, by intensity, 2θ = 10–90°:
| index | 2theta | I/Imax |
| --- | --- | --- |
| 1 1 2 | 40.47 | 1000 |
| 2 0 0 | 47.11 | 337 |
| 2 2 0 | 68.78 | 298 |
| 3 1 2 | 83.00 | 223 |
| 0 0 4 | 47.01 | 170 |
| 1 1 6 | 82.85 | 112 |
| 2 2 4 | 87.54 | 101 |
| 1 0 1 | 25.81 | 86 |
| 0 0 2 | 23.00 | 28 |
| 1 0 3 | 42.17 | 23 |

Structure:
abc: 3.8579 3.8579 7.7321
angles: 90.00 90.00 90.00
Space group I4/mmm (No. 139)
Asymmetric unit:
Fe 0.0000 0.0000 0.0000 [2 per cell]
Fe 0.0000 0.5000 0.2500 [4 per cell]
H 0.0000 0.0000 0.2533 [4 per cell]
H 0.0000 0.5000 0.0000 [4 per cell]
Ru 0.0000 0.0000 0.5000 [2 per cell]



# 2
Structure and theoretical powder XRD pattern of FeH2S8 (a cell relaxed with PBE; Cu Ka).

Largest 10 diffraction maxima, by intensity, 2θ = 10–90°:
| index | 2theta | I/Imax |
| --- | --- | --- |
| 1 -1 2 | 35.11 | 1000 |
| 0 1 0 | 20.08 | 882 |
| 1 1 -1 | 32.39 | 855 |
| 0 1 4 | 32.96 | 742 |
| 0 1 2 | 23.58 | 742 |
| 0 0 3 | 20.21 | 724 |
| 1 0 0 | 24.23 | 548 |
| 0 1 1 | 20.82 | 483 |
| 1 1 0 | 31.24 | 468 |
| 1 0 -5 | 42.83 | 347 |

Structure:
abc: 3.6759 4.4304 13.2088
angles: 86.68 88.17 88.34
Space group P-1 (No. 2)
Asymmetric unit:
Fe 0.0000 0.0000 0.0000 [1 per cell]
H 0.1871 0.0629 0.5662 [2 per cell]
S 0.0767 0.2954 0.6237 [2 per cell]
S 0.0840 0.8325 0.8413 [2 per cell]
S 0.2364 0.9502 0.2676 [2 per cell]
S 0.4924 0.6903 0.0427 [2 per cell]



# 3
Structure and theoretical powder XRD pattern of FeSb2H2 (a cell relaxed with PBE; Cu Ka).

Largest 10 diffraction maxima, by intensity, 2θ = 10–90°:
| index | 2theta | I/Imax |
| --- | --- | --- |
| 1 0 3 | 35.02 | 1000 |
| 1 1 0 | 39.68 | 603 |
| 1 0 5 | 45.43 | 495 |
| 1 0 1 | 28.66 | 410 |
| 0 0 4 | 28.02 | 276 |
| 2 1 3 | 69.01 | 259 |
| 1 1 4 | 49.27 | 249 |
| 2 1 5 | 76.05 | 205 |
| 2 0 0 | 57.36 | 204 |
| 1 1 8 | 72.49 | 195 |

Structure:
abc: 3.2127 3.2127 12.7395
angles: 90.00 90.00 90.00
Space group I4/mmm (No. 139)
Asymmetric unit:
Fe 0.0000 0.0000 0.0000 [2 per cell]
Sb 0.0000 0.0000 0.3756 [4 per cell]
H 0.0000 0.5000 0.2500 [4 per cell]



# 4
Structure and theoretical powder XRD pattern of ScFeH (a cell relaxed with PBE; Cu Ka).

Largest 10 diffraction maxima, by intensity, 2θ = 10–90°:
| index | 2theta | I/Imax |
| --- | --- | --- |
| 0 0 1 | 13.09 | 1000 |
| 1 1 1 | 33.77 | 668 |
| 1 1 -2 | 36.43 | 368 |
| 3 1 -1 | 50.68 | 309 |
| 0 0 3 | 39.99 | 253 |
| 1 1 2 | 42.61 | 210 |
| 2 0 1 | 36.23 | 182 |
| 0 2 0 | 50.96 | 152 |
| 3 1 0 | 52.58 | 107 |
| 3 1 -4 | 66.52 | 99 |

Structure:
abc: 6.2511 3.5837 7.0719
angles: 90.00 106.99 90.00
Space group C2/m (No. 12)
Asymmetric unit:
Sc 0.0974 0.0000 0.2949 [4 per cell]
Fe 0.1631 0.5000 0.9918 [4 per cell]
H 0.2001 0.0000 0.6010 [4 per cell]